# 1
# UTiC2
Computed powder XRD pattern, Cu Kα (λ = 1.5418 Å). Input: a structure optimized by DFT (PBE).

The 8 most intense peaks (5° ≤ 2θ ≤ 70°), sorted by position:
2theta, d (Å), I (rel.)
16.08, 5.512, 89
32.45, 2.759, 94
33.79, 2.653, 100
38.84, 2.319, 93
42.28, 2.137, 30
55.23, 1.663, 33
56.94, 1.617, 30
67.10, 1.395, 38

Structure:
```
UTiC2
1.0
1.617 0.934 5.512
-1.617 0.934 5.512
0.000 -1.867 5.512
U Ti C
1 1 2
Direct
0.000 0.000 0.000
0.500 0.500 0.500
0.242 0.242 0.242
0.758 0.758 0.758
```

---

# 2
# TiV5C6
Computed powder XRD pattern, Cu Kα (λ = 1.5418 Å). Input: a structure optimized by DFT (PBE).

The 3 most intense peaks (5° ≤ 2θ ≤ 70°), sorted by position:
2theta, d (Å), I (rel.)
37.17, 2.419, 92
43.18, 2.095, 100
62.72, 1.481, 56

Structure:
```
TiV5C6
1.0
2.565 -4.446 0.000
2.565 4.446 0.000
-1.701 0.000 4.839
Ti V C
1 5 6
Direct
0.000 0.000 0.000
0.166 0.834 0.500
0.334 0.666 0.000
0.500 0.500 0.500
0.666 0.334 0.000
0.834 0.166 0.500
0.085 0.421 0.254
0.253 0.253 0.749
0.421 0.085 0.254
0.579 0.915 0.746
0.747 0.747 0.251
0.915 0.579 0.746
```

---

# 3
# TiV2C3
Computed powder XRD pattern, Cu Kα (λ = 1.5418 Å). Input: a structure optimized by DFT (PBE).

The 4 most intense peaks (5° ≤ 2θ ≤ 70°), sorted by position:
2theta, d (Å), I (rel.)
36.92, 2.435, 91
42.89, 2.109, 100
62.21, 1.492, 28
62.33, 1.490, 28

Structure:
```
TiV2C3
1.0
2.580 -4.470 0.000
2.580 4.470 0.000
-1.719 0.000 4.878
Ti V C
2 4 6
Direct
0.167 0.833 0.000
0.833 0.167 0.000
0.000 0.000 0.500
0.331 0.669 0.500
0.500 0.500 0.000
0.669 0.331 0.500
0.085 0.415 0.745
0.256 0.256 0.258
0.415 0.085 0.745
0.585 0.915 0.255
0.744 0.744 0.742
0.915 0.585 0.255
```

---

# 4
# Ti5VC6
Computed powder XRD pattern, Cu Kα (λ = 1.5418 Å). Input: a structure optimized by DFT (PBE).

The 3 most intense peaks (5° ≤ 2θ ≤ 70°), sorted by position:
2theta, d (Å), I (rel.)
36.14, 2.486, 88
41.97, 2.153, 100
60.86, 1.522, 57

Structure:
```
Ti5VC6
1.0
2.637 -4.567 0.000
2.637 4.567 0.000
-1.759 0.000 4.970
Ti V C
5 1 6
Direct
0.000 0.000 0.000
0.167 0.833 0.500
0.333 0.667 0.000
0.667 0.333 0.000
0.833 0.167 0.500
0.500 0.500 0.500
0.089 0.418 0.253
0.253 0.253 0.747
0.418 0.089 0.253
0.582 0.911 0.747
0.747 0.747 0.253
0.911 0.582 0.747
```

---

# 5
# Ti4WC5
Computed powder XRD pattern, Cu Kα (λ = 1.5418 Å). Input: a structure optimized by DFT (PBE).

The 8 most intense peaks (5° ≤ 2θ ≤ 70°), sorted by position:
2theta, d (Å), I (rel.)
7.01, 12.605, 100
14.05, 6.302, 25
21.15, 4.202, 10
35.61, 2.521, 16
35.85, 2.505, 47
41.56, 2.173, 54
60.08, 1.540, 17
60.40, 1.533, 16

Structure:
```
Ti4WC5
1.0
1.533 0.885 12.605
-1.533 0.885 12.605
0.000 -1.770 12.605
Ti W C
4 1 5
Direct
0.099 0.099 0.099
0.301 0.301 0.301
0.699 0.699 0.699
0.901 0.901 0.901
0.500 0.500 0.500
0.000 0.000 0.000
0.200 0.200 0.200
0.400 0.400 0.400
0.600 0.600 0.600
0.800 0.800 0.800
```

---

# 6
# YTiC
Computed powder XRD pattern, Cu Kα (λ = 1.5418 Å). Input: a structure optimized by DFT (PBE).

The 8 most intense peaks (5° ≤ 2θ ≤ 70°), sorted by position:
2theta, d (Å), I (rel.)
25.25, 3.527, 28
32.68, 2.740, 75
33.40, 2.683, 46
33.57, 2.670, 100
36.83, 2.441, 84
43.04, 2.101, 26
54.28, 1.690, 26
57.33, 1.607, 35

Structure:
```
YTiC
1.0
3.527 -4.351 0.000
3.527 4.351 0.000
0.000 0.000 3.381
Y Ti C
2 2 2
Direct
0.204 0.796 0.000
0.796 0.204 0.000
0.300 0.300 0.500
0.700 0.700 0.500
0.000 0.000 0.500
0.500 0.500 0.000
```

---

# 7
# Ti3ZnC
Computed powder XRD pattern, Cu Kα (λ = 1.5418 Å). Input: a structure optimized by DFT (PBE).

The 8 most intense peaks (5° ≤ 2θ ≤ 70°), sorted by position:
2theta, d (Å), I (rel.)
35.31, 2.542, 32
37.03, 2.428, 100
38.04, 2.366, 62
38.99, 2.310, 40
39.90, 2.260, 51
40.61, 2.222, 55
50.75, 1.799, 19
57.38, 1.606, 27

Structure:
```
Ti3ZnC
1.0
7.137 -1.507 0.000
7.137 1.507 0.000
-0.679 0.000 6.920
Ti Zn C
6 2 2
Direct
0.049 0.049 0.208
0.259 0.259 0.682
0.411 0.411 0.437
0.589 0.589 0.563
0.741 0.741 0.318
0.951 0.951 0.792
0.358 0.358 0.061
0.642 0.642 0.939
0.160 0.160 0.430
0.840 0.840 0.570
```

---

# 8
# ZrTiC2
Computed powder XRD pattern, Cu Kα (λ = 1.5418 Å). Input: a structure optimized by DFT (PBE).

The 8 most intense peaks (5° ≤ 2θ ≤ 70°), sorted by position:
2theta, d (Å), I (rel.)
15.69, 5.647, 21
31.69, 2.823, 30
32.46, 2.758, 100
36.24, 2.479, 22
46.00, 1.973, 97
57.90, 1.593, 26
67.53, 1.387, 20
67.97, 1.379, 11

Structure:
```
ZrTiC2
1.0
3.185 0.000 0.000
-1.593 2.758 0.000
0.000 0.000 5.647
Zr Ti C
1 1 2
Direct
0.000 0.000 0.000
0.000 0.000 0.500
0.333 0.667 0.734
0.667 0.333 0.266
```

---

# 9
# Tl4C
Computed powder XRD pattern, Cu Kα (λ = 1.5418 Å). Input: a structure optimized by DFT (PBE).

The 5 most intense peaks (5° ≤ 2θ ≤ 70°), sorted by position:
2theta, d (Å), I (rel.)
30.48, 2.933, 100
35.34, 2.540, 54
50.84, 1.796, 39
60.44, 1.532, 45
63.43, 1.466, 13

Structure:
```
Tl4C
1.0
5.080 0.000 0.000
0.000 5.080 0.000
0.000 0.000 5.080
Tl C
4 1
Direct
0.000 0.000 0.000
0.000 0.500 0.500
0.500 0.000 0.500
0.500 0.500 0.000
0.500 0.500 0.500
```

---

# 10
# TlC
Computed powder XRD pattern, Cu Kα (λ = 1.5418 Å). Input: a structure optimized by DFT (PBE).

The 8 most intense peaks (5° ≤ 2θ ≤ 70°), sorted by position:
2theta, d (Å), I (rel.)
8.45, 10.468, 100
16.94, 5.234, 20
25.53, 3.489, 50
26.19, 3.402, 47
36.90, 2.436, 39
37.01, 2.429, 51
40.01, 2.254, 43
50.52, 1.807, 21

Structure:
```
TlC
1.0
1.342 -3.402 0.000
1.342 3.402 0.000
0.000 0.000 10.468
Tl C
2 2
Direct
0.250 0.750 0.835
0.750 0.250 0.165
0.250 0.750 0.500
0.750 0.250 0.500
```

---

# 11
# Tl4C23
Computed powder XRD pattern, Cu Kα (λ = 1.5418 Å). Input: a structure optimized by DFT (PBE).

The 8 most intense peaks (5° ≤ 2θ ≤ 70°), sorted by position:
2theta, d (Å), I (rel.)
23.34, 3.811, 24
26.14, 3.409, 100
28.69, 3.112, 97
42.77, 2.114, 41
44.47, 2.037, 75
47.72, 1.906, 32
55.22, 1.663, 28
66.00, 1.416, 27

Structure:
```
Tl4C23
1.0
7.623 0.000 0.000
0.000 7.623 0.000
0.000 0.000 7.623
Tl C
8 46
Direct
0.000 0.000 0.000
0.000 0.250 0.500
0.000 0.750 0.500
0.250 0.500 0.000
0.500 0.000 0.250
0.500 0.000 0.750
0.500 0.500 0.500
0.750 0.500 0.000
0.000 0.283 0.199
0.000 0.283 0.801
0.000 0.500 0.250
0.000 0.500 0.750
0.000 0.717 0.199
0.000 0.717 0.801
0.188 0.188 0.188
0.188 0.188 0.812
0.188 0.812 0.188
0.188 0.812 0.812
0.199 0.000 0.283
0.199 0.000 0.717
0.217 0.500 0.301
0.217 0.500 0.699
0.250 0.000 0.500
0.283 0.199 0.000
0.283 0.801 0.000
0.301 0.217 0.500
0.301 0.783 0.500
0.312 0.312 0.312
0.312 0.312 0.688
0.312 0.688 0.312
0.312 0.688 0.688
0.500 0.250 0.000
0.500 0.301 0.217
0.500 0.301 0.783
0.500 0.699 0.217
0.500 0.699 0.783
0.500 0.750 0.000
0.688 0.312 0.312
0.688 0.312 0.688
0.688 0.688 0.312
0.688 0.688 0.688
0.699 0.217 0.500
0.699 0.783 0.500
0.717 0.199 0.000
0.717 0.801 0.000
0.750 0.000 0.500
0.783 0.500 0.301
0.783 0.500 0.699
0.801 0.000 0.283
0.801 0.000 0.717
0.812 0.188 0.188
0.812 0.188 0.812
0.812 0.812 0.188
0.812 0.812 0.812
```

---

# 12
# Tl4C
Computed powder XRD pattern, Cu Kα (λ = 1.5418 Å). Input: a structure optimized by DFT (PBE).

The 8 most intense peaks (5° ≤ 2θ ≤ 70°), sorted by position:
2theta, d (Å), I (rel.)
27.95, 3.192, 40
28.99, 3.080, 100
30.53, 2.928, 41
36.36, 2.471, 90
41.87, 2.158, 28
49.46, 1.843, 37
59.25, 1.560, 39
62.70, 1.482, 25

Structure:
```
Tl4C
1.0
3.686 0.000 0.000
-1.843 3.192 0.000
0.000 0.000 11.712
Tl C
4 1
Direct
0.333 0.667 0.114
0.333 0.667 0.386
0.667 0.333 0.614
0.667 0.333 0.886
0.000 0.000 0.000
```